Structure and theoretical powder X-ray diffraction pattern of Pr12MgTl6 (a crystal structure in Alexandria, relaxed with GGA-PBE; Cu Kα X-rays).

Atomic structure:
```
Pr12MgTl6
1.0
7.441 4.296 3.350
-7.441 4.296 3.350
0.000 -8.592 3.350
Pr Mg Tl
12 1 6
Direct
0.030 0.341 0.882
0.073 0.408 0.320
0.118 0.970 0.659
0.320 0.073 0.408
0.341 0.882 0.030
0.408 0.320 0.073
0.592 0.680 0.927
0.659 0.118 0.970
0.680 0.927 0.592
0.882 0.030 0.341
0.927 0.592 0.680
0.970 0.659 0.118
0.000 0.000 0.000
0.241 0.357 0.661
0.339 0.759 0.643
0.357 0.661 0.241
0.643 0.339 0.759
0.661 0.241 0.357
0.759 0.643 0.339
```

Main lines, by angle (10 to 80 degrees two-theta):
2θ/deg, I (rel.)
11.89, 11.5
20.68, 19.8
26.46, 12.3
29.24, 43.8
31.54, 11.8
31.82, 100.0
33.93, 60.6
36.08, 31.5
41.94, 11.8
50.42, 11.7
52.04, 21.8
64.78, 23.9